No. 1
Structure and simulated powder diffraction line list of LiInF4 (a cell relaxed with PBE; copper Kα).
Neutral-atom scattering factors, no anomalous dispersion.

Principal peaks in the range 2θ from 15° to 90°, in order of rising 2θ:
| two_theta | d [Å] | I (rel.) |
| --- | --- | --- |
| 19.80 | 4.484 | 19.1 |
| 22.94 | 3.876 | 56.1 |
| 26.51 | 3.362 | 100.0 |
| 28.99 | 3.080 | 46.9 |
| 44.15 | 2.051 | 20.7 |
| 45.87 | 1.978 | 16.9 |
| 46.32 | 1.960 | 27.9 |
| 51.81 | 1.764 | 27.1 |
| 52.22 | 1.752 | 17.1 |
| 60.13 | 1.539 | 16.2 |

Cell and atoms:
Unit cell a=4.8349 b=11.9857 c=5.0827 alpha=90.00 beta=90.00 gamma=90.00
Space group Pbcn (No. 60)
Unique sites:
Li 0.0000 0.0553 0.2500
In 0.0000 0.3307 0.2500
F 0.2261 0.1919 0.0820
F 0.2373 0.0580 0.5714



No. 2
Structure and simulated powder diffraction line list of MgTe2Mo2W2Se4S2 (a cell relaxed with PBE; copper Kα).
Neutral-atom scattering factors, no anomalous dispersion.

Principal peaks in the range 2θ from 15° to 90°, in order of rising 2θ:
| two_theta | d [Å] | I (rel.) |
| --- | --- | --- |
| 30.82 | 2.901 | 46.9 |
| 31.10 | 2.876 | 14.1 |
| 32.52 | 2.753 | 27.8 |
| 35.03 | 2.562 | 71.8 |
| 38.44 | 2.342 | 20.2 |
| 41.13 | 2.195 | 100.0 |
| 42.56 | 2.124 | 17.5 |
| 54.79 | 1.675 | 39.8 |
| 55.89 | 1.645 | 20.2 |
| 70.74 | 1.332 | 16.3 |

Cell and atoms:
Unit cell a=5.8022 b=3.3504 c=43.6207 alpha=90.00 beta=90.13 gamma=90.00
Space group Cm (No. 8)
Unique sites:
Mg 0.0000 0.0000 0.0000
Te 0.1691 0.5000 0.4168
Te 0.1706 0.5000 0.5037
Mo 0.0016 0.0000 0.0909
Mo 0.0030 0.0000 0.4603
W 0.1699 0.5000 0.2722
W 0.1695 0.5000 0.8916
Se 0.0025 0.0000 0.2339
Se 0.0021 0.0000 0.8533
Se 0.0034 0.0000 0.9300
Se 0.0037 0.0000 0.3106
S 0.1682 0.5000 0.0558
S 0.1687 0.5000 0.1254



No. 3
Structure and simulated powder diffraction line list of Na2Ga2GeS6 (a cell relaxed with PBE; copper Kα).
Neutral-atom scattering factors, no anomalous dispersion.

Principal peaks in the range 2θ from 15° to 90°, in order of rising 2θ:
| two_theta | d [Å] | I (rel.) |
| --- | --- | --- |
| 16.02 | 5.533 | 34.6 |
| 23.85 | 3.731 | 60.8 |
| 24.65 | 3.611 | 55.3 |
| 27.02 | 3.300 | 89.0 |
| 29.06 | 3.072 | 46.1 |
| 30.61 | 2.921 | 100.0 |
| 32.10 | 2.788 | 50.3 |
| 42.65 | 2.120 | 40.5 |
| 50.55 | 1.806 | 33.7 |
| 52.04 | 1.757 | 36.5 |

Cell and atoms:
Unit cell a=12.6242 b=23.0012 c=7.3884 alpha=90.00 beta=90.00 gamma=90.00
Space group Fdd2 (No. 43)
Unique sites:
Na 0.0826 0.2952 0.0000
Ga 0.1135 0.3839 0.4647
Ge 0.0000 0.0000 0.2432
S 0.0464 0.0745 0.4193
S 0.0611 0.1367 0.9333
S 0.1088 0.2279 0.3202